Starting from a PBE+U-relaxed structure, the PXRD pattern of Ca3LaMn2Ir2O12 was simulated for Cu Kα (weighted mean of Kα1 and Kα2).
Peak positions follow from Bragg's law for the DFT cell and can differ from measured ones.

Structural model:
```
data_Ca3LaMn2Ir2O12
_chemical_formula_sum 'Ca3 La1 Mn2 Ir2 O12'
_symmetry_space_group_name_H-M 'P 1'
_symmetry_Int_Tables_number 1
_cell_length_a 5.505
_cell_length_b 5.710
_cell_length_c 7.864
_cell_angle_alpha 90.10
_cell_angle_beta 90.12
_cell_angle_gamma 90.02
loop_
_symmetry_equiv_pos_as_xyz
'x,y,z'
loop_
_atom_site_label
_atom_site_type_symbol
_atom_site_fract_x
_atom_site_fract_y
_atom_site_fract_z
Ca1 Ca 0.000 0.000 0.000
Ca2 Ca 0.033 0.115 0.502
Ca3 Ca 0.502 0.618 0.500
La1 La 0.528 0.504 0.002
Mn1 Mn 0.017 0.559 0.744
Mn2 Mn 0.516 0.057 0.257
Ir1 Ir 0.016 0.559 0.255
Ir2 Ir 0.517 0.058 0.747
O1 O 0.105 0.594 0.008
O2 O 0.203 0.847 0.308
O3 O 0.226 0.865 0.699
O4 O 0.314 0.369 0.297
O5 O 0.334 0.352 0.699
O6 O 0.415 0.084 0.993
O7 O 0.622 0.023 0.510
O8 O 0.709 0.772 0.802
O9 O 0.724 0.755 0.205
O10 O 0.806 0.254 0.804
O11 O 0.826 0.272 0.194
O12 O 0.913 0.517 0.493
```

Most intense lines, 2θ from 5° to 70°, by intensity:
d [Å], intensity, hkl
2.791, 100.0, 1 1 2
4.621, 32.1, 0 1 -1
4.511, 29.9, 1 0 -1
1.982, 25.0, 2 2 0
2.855, 24.3, 0 2 0
2.753, 23.5, 2 0 0